1.
Calculated X-ray powder pattern of RbSnI2Cl for copper Kα, from a structure optimized by DFT (PBE).
Intensities are scaled so that the largest is 100.

Most intense lines, 2θ = 10–90°, most intense first:
2θ/deg, I (rel.), hkl
42.97, 100, 2 2 4
28.60, 96, 2 2 0
15.53, 76, 0 0 2
23.85, 74, 2 1 1
35.81, 72, 3 1 2
25.52, 67, 2 0 2
31.36, 55, 0 0 4
32.70, 54, 2 2 2
21.10, 52, 1 1 2
52.42, 38, 4 0 4

Atomic structure:
Unit cell a=8.827 b=8.827 c=11.411 alpha=90.00 beta=90.00 gamma=90.00
Space group I4cm (No. 108)
One atom of each set of equivalent atoms:
Rb: 0.000 0.500 0.000 (multiplicity 4)
Sn: 0.000 0.000 0.261 (multiplicity 4)
I: 0.199 0.301 0.250 (multiplicity 8)
Cl: 0.000 0.000 0.487 (multiplicity 4)

2.
Calculated X-ray powder pattern of LiCa16Mg12 for copper Kα, from a structure optimized by DFT (PBE).
Intensities are scaled so that the largest is 100.

Most intense lines, 2θ = 10–90°, most intense first:
2θ/deg, I (rel.), hkl
30.47, 100, 3 3 0
30.77, 93, 3 3 -3
31.02, 42, 1 5 -2
30.91, 34, 1 5 1
29.98, 26, 0 0 3
34.39, 26, 3 5 -1
30.27, 25, 1 3 2
28.87, 21, 0 4 2
54.68, 19, 2 8 2
53.96, 15, 1 5 -5

Atomic structure:
Unit cell a=12.375 b=17.126 c=10.799 alpha=90.00 beta=124.09 gamma=90.00
Space group Cm (No. 8)
One atom of each set of equivalent atoms:
Li: 0.000 0.000 0.000 (multiplicity 2)
Ca: 0.101 0.123 0.325 (multiplicity 4)
Ca: 0.125 0.195 0.021 (multiplicity 4)
Ca: 0.143 0.500 0.666 (multiplicity 2)
Ca: 0.144 0.500 0.329 (multiplicity 2)
Ca: 0.199 0.152 0.734 (multiplicity 4)
Ca: 0.289 0.000 0.013 (multiplicity 2)
Ca: 0.296 0.344 0.930 (multiplicity 4)
Ca: 0.320 0.323 0.330 (multiplicity 4)
Ca: 0.346 0.000 0.642 (multiplicity 2)
Ca: 0.442 0.203 0.652 (multiplicity 4)
Mg: 0.049 0.406 0.980 (multiplicity 4)
Mg: 0.146 0.313 0.514 (multiplicity 4)
Mg: 0.316 0.500 0.145 (multiplicity 2)
Mg: 0.383 0.093 0.347 (multiplicity 4)
Mg: 0.410 0.409 0.692 (multiplicity 4)
Mg: 0.463 0.188 0.161 (multiplicity 4)
Mg: 0.499 0.500 0.505 (multiplicity 2)